This entry pairs a crystal structure of MgV4O5F7 with its theoretical XRD peak list. Radiation: CuKα. Structure: a cell relaxed with PBE+U.
Neutral-atom scattering factors, no anomalous dispersion.

Crystal structure
Unit cell a=5.337 b=5.615 c=7.221 alpha=93.53 beta=90.15 gamma=90.86
Space group P1 (No. 1)
Unique sites:
Mg1 0.000 0.000 0.000 x1
V1 0.468 0.116 0.722 x1
V2 0.484 0.112 0.226 x1
V3 0.989 0.595 0.226 x1
V4 0.999 0.565 0.711 x1
O1 0.044 0.635 0.976 x1
O2 0.169 0.317 0.681 x1
O3 0.361 0.107 0.981 x1
O4 0.547 0.109 0.461 x1
O5 0.892 0.600 0.455 x1
F1 0.157 0.926 0.263 x1
F2 0.261 0.813 0.674 x1
F3 0.298 0.424 0.266 x1
F4 0.674 0.417 0.766 x1
F5 0.692 0.827 0.160 x1
F6 0.788 0.936 0.780 x1
F7 0.813 0.274 0.145 x1

Largest 8 diffraction maxima, in order of rising 2θ, 10 to 90 degrees two-theta:
| 2θ/deg | I/Imax |
| --- | --- |
| 22.8 | 100 |
| 23.2 | 94 |
| 24.7 | 93 |
| 31.9 | 23 |
| 33.2 | 23 |
| 33.3 | 23 |
| 39.3 | 24 |
| 47.4 | 27 |